The following is a theoretical X-ray powder pattern of BrF3. It was derived from a DFT-relaxed cell (GGA-PBE, Alexandria), using CuKα.

Top 8 peaks for 5° ≤ 2θ ≤ 70°, in order of rising 2θ:
18.5°, d = 4.792 Å, intensity 34, (1 1 0)
23.7°, d = 3.753 Å, intensity 100, (1 1 1)
26.4°, d = 3.382 Å, intensity 20, (0 2 1)
30.2°, d = 2.959 Å, intensity 48, (2 0 0)
35.1°, d = 2.554 Å, intensity 13, (1 1 2)
40.5°, d = 2.227 Å, intensity 13, (2 2 1)
47.5°, d = 1.913 Å, intensity 26, (1 3 2)
49.9°, d = 1.828 Å, intensity 12, (3 1 1)

Structure:
```
data_BrF3
_symmetry_space_group_name_H-M 'C m c 21'
_symmetry_Int_Tables_number 36
_cell_length_a 5.9180
_cell_length_b 8.1658
_cell_length_c 6.0368
_cell_angle_alpha 90.00
_cell_angle_beta 90.00
_cell_angle_gamma 90.00
loop_
_symmetry_equiv_pos_as_xyz
'x,y,z'
'-x,-y,z+1/2'
'-x,y,z'
'x,-y,z+1/2'
'x+1/2,y+1/2,z'
'-x+1/2,-y+1/2,z+1/2'
'-x+1/2,y+1/2,z'
'x+1/2,-y+1/2,z+1/2'
loop_
_atom_site_label
_atom_site_type_symbol
_atom_site_fract_x
_atom_site_fract_y
_atom_site_fract_z
Br1 Br 0.0000 0.1640 0.0000
F1 F 0.0000 0.0552 0.3237
F2 F 0.0000 0.2719 0.7388
F3 F 0.0000 0.3576 0.1474
```